Structure and computed powder diffraction line list of PmHo2IO8 (the PBE geometry in Alexandria; a wavelength of 1.5418 Å).

Principal peaks in the range 5° ≤ 2θ ≤ 70°, sorted by position:
- 2θ 25.01, I 100, (2 0 0)
- 2θ 31.40, I 91, (1 1 2)
- 2θ 35.66, I 26, (2 2 0)
- 2θ 48.24, I 69, (3 1 2)
- 2θ 51.32, I 16, (0 4 0)
- 2θ 57.91, I 17, (2 4 0)
- 2θ 59.46, I 18, (2 0 4)
- 2θ 61.41, I 20, (3 3 2)

Cell and atoms:
```
data_PmHo2IO8
_space_group_name_H-M_alt 'C m m m'
_space_group_IT_number 65
_space_group_name_Hall '-C 2 2'
_cell_length_a 7.1175
_cell_length_b 7.1241
_cell_length_c 6.9119
_cell_angle_alpha 90.00
_cell_angle_beta 90.00
_cell_angle_gamma 90.00
loop_
_atom_site_label
_atom_site_type_symbol
_atom_site_fract_x
_atom_site_fract_y
_atom_site_fract_z
_atom_site_occupancy
Pm1 Pm 0.0000 0.0000 0.0000 1
Ho1 Ho 0.0000 0.5000 0.2487 1
I1 I 0.0000 0.0000 0.5000 1
O1 O 0.0000 0.2674 0.5000 1
O2 O 0.0000 0.3158 0.0000 1
O3 O 0.1830 0.0000 0.2969 1
```

Structure and computed powder diffraction line list of PrHo2I8 (the PBE geometry in Alexandria; a wavelength of 1.5418 Å).

Principal peaks in the range 5° ≤ 2θ ≤ 70°, sorted by position:
- 2θ 10.02, I 100, (1 1 0)
- 2θ 16.62, I 62, (0 2 0)
- 2θ 20.13, I 50, (2 2 0)
- 2θ 23.36, I 93, (2 2 -1)
- 2θ 24.04, I 46, (0 0 2)
- 2θ 31.37, I 53, (2 2 -2)
- 2θ 33.61, I 64, (0 4 0)
- 2θ 38.26, I 63, (6 2 0)

Cell and atoms:
```
data_PrHo2I8
_space_group_name_H-M_alt 'C 1 2/m 1'
_space_group_IT_number 12
_cell_length_a 15.7358
_cell_length_b 10.6571
_cell_length_c 7.4050
_cell_angle_alpha 90.00
_cell_angle_beta 91.13
_cell_angle_gamma 90.00
loop_
_space_group_symop_operation_xyz
'x,y,z'
'-x,-y,-z'
'-x,y,-z'
'x,-y,z'
'x+1/2,y+1/2,z'
'-x+1/2,-y+1/2,-z'
'-x+1/2,y+1/2,-z'
'x+1/2,-y+1/2,z'
loop_
_atom_site_label
_atom_site_type_symbol
_atom_site_fract_x
_atom_site_fract_y
_atom_site_fract_z
_atom_site_occupancy
Pr1 Pr 0.0000 0.0000 0.0000 1
Ho1 Ho 0.1740 0.0000 0.6343 1
I1 I 0.0789 0.2177 0.7560 1
I2 I 0.1540 0.5000 0.2562 1
I3 I 0.1753 0.0000 0.2370 1
```

Structure and computed powder diffraction line list of Ho4RuI2 (the PBE geometry in Alexandria; a wavelength of 1.5418 Å).

Principal peaks in the range 5° ≤ 2θ ≤ 70°, sorted by position:
- 2θ 8.16, I 100, (0 0 1)
- 2θ 18.76, I 14, (1 0 -2)
- 2θ 28.86, I 43, (1 1 -2)
- 2θ 29.25, I 15, (2 0 0)
- 2θ 33.12, I 57, (1 1 2)
- 2θ 38.04, I 14, (2 0 -4)
- 2θ 39.01, I 13, (1 1 3)
- 2θ 44.30, I 12, (0 2 0)

Cell and atoms:
```
data_Ho4RuI2
_space_group_name_H-M_alt 'P 1 2/m 1'
_space_group_IT_number 10
_cell_length_a 6.3385
_cell_length_b 4.0892
_cell_length_c 11.2485
_cell_angle_alpha 90.00
_cell_angle_beta 105.54
_cell_angle_gamma 90.00
loop_
_space_group_symop_operation_xyz
'x,y,z'
'-x,-y,-z'
'-x,y,-z'
'x,-y,z'
loop_
_atom_site_label
_atom_site_type_symbol
_atom_site_fract_x
_atom_site_fract_y
_atom_site_fract_z
_atom_site_occupancy
Ho1 Ho 0.2124 0.0000 0.1338 1
Ho2 Ho 0.2668 0.5000 0.8731 1
Ru1 Ru 0.5000 0.0000 0.0000 1
I1 I 0.1783 0.5000 0.3466 1
```

Structure and computed powder diffraction line list of Ho7SI12 (the PBE geometry in Alexandria; a wavelength of 1.5418 Å).

Principal peaks in the range 5° ≤ 2θ ≤ 70°, sorted by position:
- 2θ 11.39, I 25, (1 1 0)
- 2θ 25.40, I 12, (4 -3 1)
- 2θ 28.49, I 13, (1 1 3)
- 2θ 29.59, I 100, (4 -1 2)
- 2θ 41.94, I 35, (5 2 0)
- 2θ 42.75, I 34, (1 3 4)
- 2θ 52.16, I 17, (2 6 2)
- 2θ 69.07, I 12, (9 1 2)

Cell and atoms:
```
data_Ho7SI12
_space_group_name_H-M_alt 'R -3'
_space_group_IT_number 148
_space_group_name_Hall '-R 3'
_cell_length_a 15.5342
_cell_length_b 15.5342
_cell_length_c 10.2715
_cell_angle_alpha 90.00
_cell_angle_beta 90.00
_cell_angle_gamma 120.00
loop_
_atom_site_label
_atom_site_type_symbol
_atom_site_fract_x
_atom_site_fract_y
_atom_site_fract_z
_atom_site_occupancy
Ho1 Ho 0.0000 0.0000 0.0000 1
Ho2 Ho 0.0429 0.8893 0.3549 1
S1 S 0.0000 0.0000 0.5000 1
I1 I 0.0245 0.4386 0.1638 1
I2 I 0.0518 0.8679 0.8356 1
```

Structure and computed powder diffraction line list of HoSbI (the PBE geometry in Alexandria; a wavelength of 1.5418 Å).

Principal peaks in the range 5° ≤ 2θ ≤ 70°, sorted by position:
- 2θ 21.64, I 61, (1 1 1)
- 2θ 25.47, I 62, (2 1 0)
- 2θ 28.66, I 54, (1 2 1)
- 2θ 29.58, I 100, (2 1 1)
- 2θ 33.89, I 63, (1 1 2)
- 2θ 34.52, I 88, (1 3 0)
- 2θ 37.06, I 85, (0 2 2)
- 2θ 39.66, I 84, (3 1 1)

Cell and atoms:
```
data_HoSbI
_space_group_name_H-M_alt 'P b c m'
_space_group_IT_number 57
_cell_length_a 7.7165
_cell_length_b 8.2773
_cell_length_c 5.9875
_cell_angle_alpha 90.00
_cell_angle_beta 90.00
_cell_angle_gamma 90.00
loop_
_space_group_symop_operation_xyz
'x,y,z'
'-x,-y,-z'
'-x,-y,z+1/2'
'x,y,-z+1/2'
'x,-y+1/2,-z'
'-x,y+1/2,z'
'-x,y+1/2,-z+1/2'
'x,-y+1/2,z+1/2'
loop_
_atom_site_label
_atom_site_type_symbol
_atom_site_fract_x
_atom_site_fract_y
_atom_site_fract_z
_atom_site_occupancy
Ho1 Ho 0.2158 0.0536 0.2500 1
Sb1 Sb 0.0775 0.7500 0.0000 1
I1 I 0.3939 0.0995 0.7500 1
```

Structure and computed powder diffraction line list of SmHoI4 (the PBE geometry in Alexandria; a wavelength of 1.5418 Å).

Principal peaks in the range 5° ≤ 2θ ≤ 70°, sorted by position:
- 2θ 11.02, I 73, (0 0 1)
- 2θ 25.01, I 31, (2 0 -1)
- 2θ 28.86, I 100, (1 1 1)
- 2θ 28.96, I 50, (2 0 -2)
- 2θ 38.81, I 22, (2 0 2)
- 2θ 39.08, I 44, (1 1 -3)
- 2θ 43.51, I 32, (3 1 -1)
- 2θ 45.14, I 24, (0 0 4)

Cell and atoms:
```
data_SmHoI4
_space_group_name_H-M_alt 'P 1 2/m 1'
_space_group_IT_number 10
_cell_length_a 7.2117
_cell_length_b 4.1508
_cell_length_c 8.3657
_cell_angle_alpha 90.00
_cell_angle_beta 106.25
_cell_angle_gamma 90.00
loop_
_space_group_symop_operation_xyz
'x,y,z'
'-x,-y,-z'
'-x,y,-z'
'x,-y,z'
loop_
_atom_site_label
_atom_site_type_symbol
_atom_site_fract_x
_atom_site_fract_y
_atom_site_fract_z
_atom_site_occupancy
Sm1 Sm 0.0000 0.0000 0.0000 1
Ho1 Ho 0.5000 0.5000 0.0000 1
I1 I 0.2556 0.5000 0.2492 1
I2 I 0.2609 0.0000 0.7564 1
```

Structure and computed powder diffraction line list of TbHoI3 (the PBE geometry in Alexandria; a wavelength of 1.5418 Å).

Principal peaks in the range 5° ≤ 2θ ≤ 70°, sorted by position:
- 2θ 8.30, I 37, (0 0 1)
- 2θ 9.38, I 32, (2 0 0)
- 2θ 10.06, I 29, (2 0 -1)
- 2θ 18.83, I 19, (4 0 0)
- 2θ 26.89, I 17, (1 1 -2)
- 2θ 28.96, I 100, (1 1 2)
- 2θ 38.56, I 29, (7 1 -2)
- 2θ 44.41, I 16, (0 2 0)

Cell and atoms:
```
data_TbHoI3
_space_group_name_H-M_alt 'C 1 2/m 1'
_space_group_IT_number 12
_cell_length_a 20.1859
_cell_length_b 4.0800
_cell_length_c 11.4121
_cell_angle_alpha 90.00
_cell_angle_beta 110.97
_cell_angle_gamma 90.00
loop_
_space_group_symop_operation_xyz
'x,y,z'
'-x,-y,-z'
'-x,y,-z'
'x,-y,z'
'x+1/2,y+1/2,z'
'-x+1/2,-y+1/2,-z'
'-x+1/2,y+1/2,-z'
'x+1/2,-y+1/2,z'
loop_
_atom_site_label
_atom_site_type_symbol
_atom_site_fract_x
_atom_site_fract_y
_atom_site_fract_z
_atom_site_occupancy
Tb1 Tb 0.0728 0.0000 0.2399 1
Ho1 Ho 0.0741 0.5000 0.9705 1
I1 I 0.0789 0.0000 0.7623 1
I2 I 0.1359 0.5000 0.4509 1
I3 I 0.1914 0.0000 0.1320 1
```

Structure and computed powder diffraction line list of Y2HoI (the PBE geometry in Alexandria; a wavelength of 1.5418 Å).

Principal peaks in the range 5° ≤ 2θ ≤ 70°, sorted by position:
- 2θ 29.81, I 100, (1 0 4)
- 2θ 34.31, I 22, (0 0 12)
- 2θ 35.93, I 60, (0 1 8)
- 2θ 48.61, I 25, (1 1 0)
- 2θ 54.72, I 17, (1 0 16)
- 2θ 58.07, I 15, (0 2 4)
- 2θ 60.85, I 25, (1 1 12)
- 2θ 61.91, I 12, (2 0 8)

Cell and atoms:
```
data_Y2HoI
_space_group_name_H-M_alt 'R -3 m'
_space_group_IT_number 166
_space_group_name_Hall '-R 3 2"'
_cell_length_a 3.7458
_cell_length_b 3.7458
_cell_length_c 31.3599
_cell_angle_alpha 90.00
_cell_angle_beta 90.00
_cell_angle_gamma 120.00
loop_
_atom_site_label
_atom_site_type_symbol
_atom_site_fract_x
_atom_site_fract_y
_atom_site_fract_z
_atom_site_occupancy
Y1 Y 0.0000 0.0000 0.2456 1
Ho1 Ho 0.0000 0.0000 0.0000 1
I1 I 0.0000 0.0000 0.5000 1
```

What did the seventh record say?
Structure and computed powder diffraction line list of TbHoI3 (the PBE geometry in Alexandria; a wavelength of 1.5418 Å).

Principal peaks in the range 5° ≤ 2θ ≤ 70°, sorted by position:
- 2θ 8.30, I 37, (0 0 1)
- 2θ 9.38, I 32, (2 0 0)
- 2θ 10.06, I 29, (2 0 -1)
- 2θ 18.83, I 19, (4 0 0)
- 2θ 26.89, I 17, (1 1 -2)
- 2θ 28.96, I 100, (1 1 2)
- 2θ 38.56, I 29, (7 1 -2)
- 2θ 44.41, I 16, (0 2 0)

Cell and atoms:
```
data_TbHoI3
_space_group_name_H-M_alt 'C 1 2/m 1'
_space_group_IT_number 12
_cell_length_a 20.1859
_cell_length_b 4.0800
_cell_length_c 11.4121
_cell_angle_alpha 90.00
_cell_angle_beta 110.97
_cell_angle_gamma 90.00
loop_
_space_group_symop_operation_xyz
'x,y,z'
'-x,-y,-z'
'-x,y,-z'
'x,-y,z'
'x+1/2,y+1/2,z'
'-x+1/2,-y+1/2,-z'
'-x+1/2,y+1/2,-z'
'x+1/2,-y+1/2,z'
loop_
_atom_site_label
_atom_site_type_symbol
_atom_site_fract_x
_atom_site_fract_y
_atom_site_fract_z
_atom_site_occupancy
Tb1 Tb 0.0728 0.0000 0.2399 1
Ho1 Ho 0.0741 0.5000 0.9705 1
I1 I 0.0789 0.0000 0.7623 1
I2 I 0.1359 0.5000 0.4509 1
I3 I 0.1914 0.0000 0.1320 1
```